Record 1
Calculated X-ray diffraction stick pattern
Compound: Tb2PmHg5
Radiation: Cu Kα (λ = 1.5418 Å)
Structure: a GGA-PBE-relaxed structure

Top 6 peaks for 2θ = 10–90°, most intense first:
d [Å]  I_rel
2.606  100
2.617  53
1.509  38
1.850  19
1.170  18
1.502  17

```
data_Tb2PmHg5
_space_group_name_H-M_alt 'I 4/m m m'
_space_group_IT_number 139
_space_group_name_Hall '-I 4 2'
_cell_length_a 5.234
_cell_length_b 5.234
_cell_length_c 14.677
_cell_angle_alpha 90.00
_cell_angle_beta 90.00
_cell_angle_gamma 90.00
loop_
_atom_site_label
_atom_site_type_symbol
_atom_site_fract_x
_atom_site_fract_y
_atom_site_fract_z
_atom_site_occupancy
Tb1 Tb 0.000 0.000 0.233 1
Pm1 Pm 0.000 0.000 0.500 1
Hg1 Hg 0.000 0.000 0.000 1
Hg2 Hg 0.000 0.500 0.127 1
```

***

Record 2
Calculated X-ray diffraction stick pattern
Compound: PrNd2AgHg3Au2
Radiation: Cu Kα (λ = 1.5418 Å)
Structure: a GGA-PBE-relaxed structure

Top 6 peaks for 2θ = 10–90°, most intense first:
d [Å]  I_rel
2.818  100
2.615  80
2.650  55
2.337  53
1.489  38
2.197  37

```
data_PrNd2AgHg3Au2
_space_group_name_H-M_alt 'A m m 2'
_space_group_IT_number 38
_cell_length_a 3.925
_cell_length_b 14.034
_cell_length_c 8.092
_cell_angle_alpha 90.00
_cell_angle_beta 90.00
_cell_angle_gamma 90.00
loop_
_space_group_symop_operation_xyz
'x,y,z'
'-x,-y,z'
'-x,y,z'
'x,-y,z'
'x,y+1/2,z+1/2'
'-x,-y+1/2,z+1/2'
'-x,y+1/2,z+1/2'
'x,-y+1/2,z+1/2'
loop_
_atom_site_label
_atom_site_type_symbol
_atom_site_fract_x
_atom_site_fract_y
_atom_site_fract_z
_atom_site_occupancy
Pr1 Pr 0.000 0.000 0.000 1
Nd1 Nd 0.000 0.203 0.609 1
Ag1 Ag 0.000 0.000 0.406 1
Hg1 Hg 0.500 0.000 0.670 1
Hg2 Hg 0.500 0.133 0.273 1
Au1 Au 0.500 0.167 0.905 1
```

***

Record 3
Calculated X-ray diffraction stick pattern
Compound: Ni9Te
Radiation: Cu Kα (λ = 1.5418 Å)
Structure: a GGA-PBE-relaxed structure

Top 6 peaks for 2θ = 10–90°, most intense first:
d [Å]  I_rel
2.013  100
1.926  64
2.079  44
1.128  27
1.362  19
2.146  15

```
data_Ni9Te
_space_group_name_H-M_alt 'P 4/n m m'
_space_group_IT_number 129
_cell_length_a 2.724
_cell_length_b 2.724
_cell_length_c 41.830
_cell_angle_alpha 90.00
_cell_angle_beta 90.00
_cell_angle_gamma 90.00
loop_
_space_group_symop_operation_xyz
'x,y,z'
'-x,-y,-z'
'-y+1/2,x,z'
'y+1/2,-x,-z'
'-x+1/2,-y+1/2,z'
'x+1/2,y+1/2,-z'
'y,-x+1/2,z'
'-y,x+1/2,-z'
'x+1/2,-y,-z'
'-x+1/2,y,z'
'-y,-x,-z'
'y,x,z'
'-x,y+1/2,-z'
'x,-y+1/2,z'
'y+1/2,x+1/2,-z'
'-y+1/2,-x+1/2,z'
loop_
_atom_site_label
_atom_site_type_symbol
_atom_site_fract_x
_atom_site_fract_y
_atom_site_fract_z
_atom_site_occupancy
Ni1 Ni 0.250 0.250 0.018 1
Ni2 Ni 0.250 0.250 0.090 1
Ni3 Ni 0.250 0.250 0.162 1
Ni4 Ni 0.250 0.250 0.234 1
Ni5 Ni 0.250 0.250 0.307 1
Ni6 Ni 0.250 0.250 0.730 1
Ni7 Ni 0.250 0.250 0.802 1
Ni8 Ni 0.250 0.250 0.874 1
Ni9 Ni 0.250 0.250 0.946 1
Te1 Te 0.250 0.250 0.647 1
```

***

Record 4
Calculated X-ray diffraction stick pattern
Compound: YHoPb4
Radiation: Cu Kα (λ = 1.5418 Å)
Structure: a GGA-PBE-relaxed structure

Top 6 peaks for 2θ = 10–90°, most intense first:
d [Å]  I_rel
2.770  100
2.757  22
2.281  15
2.250  15
1.594  14
1.380  14

```
data_YHoPb4
_space_group_name_H-M_alt 'A m m 2'
_space_group_IT_number 38
_cell_length_a 4.500
_cell_length_b 4.562
_cell_length_c 16.545
_cell_angle_alpha 90.00
_cell_angle_beta 90.00
_cell_angle_gamma 90.00
loop_
_space_group_symop_operation_xyz
'x,y,z'
'-x,-y,z'
'-x,y,z'
'x,-y,z'
'x,y+1/2,z+1/2'
'-x,-y+1/2,z+1/2'
'-x,y+1/2,z+1/2'
'x,-y+1/2,z+1/2'
loop_
_atom_site_label
_atom_site_type_symbol
_atom_site_fract_x
_atom_site_fract_y
_atom_site_fract_z
_atom_site_occupancy
Y1 Y 0.000 0.000 0.000 1
Ho1 Ho 0.500 0.000 0.810 1
Pb1 Pb 0.000 0.000 0.335 1
Pb2 Pb 0.000 0.000 0.655 1
Pb3 Pb 0.500 0.000 0.156 1
Pb4 Pb 0.500 0.000 0.473 1
```

***

Record 5
Calculated X-ray diffraction stick pattern
Compound: Li3Re2O6
Radiation: Cu Kα (λ = 1.5418 Å)
Structure: a GGA-PBE-relaxed structure

Top 6 peaks for 2θ = 10–90°, most intense first:
d [Å]  I_rel
4.878  100
4.244  53
3.644  41
2.449  35
2.080  29
2.889  21

```
data_Li3Re2O6
_space_group_name_H-M_alt 'C 1 2/m 1'
_space_group_IT_number 12
_cell_length_a 5.087
_cell_length_b 8.476
_cell_length_c 5.060
_cell_angle_alpha 90.00
_cell_angle_beta 105.43
_cell_angle_gamma 90.00
loop_
_space_group_symop_operation_xyz
'x,y,z'
'-x,-y,-z'
'-x,y,-z'
'x,-y,z'
'x+1/2,y+1/2,z'
'-x+1/2,-y+1/2,-z'
'-x+1/2,y+1/2,-z'
'x+1/2,-y+1/2,z'
loop_
_atom_site_label
_atom_site_type_symbol
_atom_site_fract_x
_atom_site_fract_y
_atom_site_fract_z
_atom_site_occupancy
Li1 Li 0.000 0.000 0.000 1
Li2 Li 0.000 0.165 0.500 1
Re1 Re 0.000 0.360 0.000 1
O1 O 0.236 0.180 0.220 1
O2 O 0.244 0.000 0.737 1
```

***

Record 6
Calculated X-ray diffraction stick pattern
Compound: Lu11Te4
Radiation: Cu Kα (λ = 1.5418 Å)
Structure: a GGA-PBE-relaxed structure

Top 6 peaks for 2θ = 10–90°, most intense first:
d [Å]  I_rel
2.744  100
2.882  80
2.807  79
2.684  77
1.971  76
2.524  62

```
data_Lu11Te4
_space_group_name_H-M_alt 'C 1 2/m 1'
_space_group_IT_number 12
_cell_length_a 30.589
_cell_length_b 3.943
_cell_length_c 21.226
_cell_angle_alpha 90.00
_cell_angle_beta 102.83
_cell_angle_gamma 90.00
loop_
_space_group_symop_operation_xyz
'x,y,z'
'-x,-y,-z'
'-x,y,-z'
'x,-y,z'
'x+1/2,y+1/2,z'
'-x+1/2,-y+1/2,-z'
'-x+1/2,y+1/2,-z'
'x+1/2,-y+1/2,z'
loop_
_atom_site_label
_atom_site_type_symbol
_atom_site_fract_x
_atom_site_fract_y
_atom_site_fract_z
_atom_site_occupancy
Lu1 Lu 0.000 0.000 0.000 1
Lu2 Lu 0.032 0.000 0.445 1
Lu3 Lu 0.032 0.000 0.835 1
Lu4 Lu 0.036 0.500 0.308 1
Lu5 Lu 0.043 0.500 0.117 1
Lu6 Lu 0.061 0.500 0.586 1
Lu7 Lu 0.074 0.500 0.962 1
Lu8 Lu 0.106 0.500 0.779 1
Lu9 Lu 0.127 0.000 0.092 1
Lu10 Lu 0.131 0.000 0.369 1
Lu11 Lu 0.151 0.000 0.904 1
Lu12 Lu 0.159 0.500 0.255 1
Lu13 Lu 0.172 0.000 0.565 1
Lu14 Lu 0.204 0.000 0.781 1
Lu15 Lu 0.214 0.500 0.456 1
Lu16 Lu 0.243 0.000 0.346 1
Lu17 Lu 0.245 0.500 0.927 1
Te1 Te 0.042 0.000 0.689 1
Te2 Te 0.080 0.000 0.225 1
Te3 Te 0.112 0.500 0.473 1
Te4 Te 0.158 0.500 0.672 1
Te5 Te 0.178 0.500 0.020 1
Te6 Te 0.216 0.000 0.194 1
```

***

Record 7
Calculated X-ray diffraction stick pattern
Compound: AlP6Pt
Radiation: Cu Kα (λ = 1.5418 Å)
Structure: a GGA-PBE-relaxed structure

Top 6 peaks for 2θ = 10–90°, most intense first:
d [Å]  I_rel
4.211  100
2.539  81
4.863  65
1.932  59
2.978  44
2.106  38

```
data_AlP6Pt
_space_group_name_H-M_alt 'F -4 3 m'
_space_group_IT_number 216
_space_group_name_Hall 'F -4 2 3'
_cell_length_a 8.422
_cell_length_b 8.422
_cell_length_c 8.422
_cell_angle_alpha 90.00
_cell_angle_beta 90.00
_cell_angle_gamma 90.00
loop_
_atom_site_label
_atom_site_type_symbol
_atom_site_fract_x
_atom_site_fract_y
_atom_site_fract_z
_atom_site_occupancy
Al1 Al 0.000 0.000 0.000 1
P1 P 0.042 0.250 0.750 1
Pt1 Pt 0.250 0.250 0.250 1
```

***

Record 8
Calculated X-ray diffraction stick pattern
Compound: Cs4LiReO6
Radiation: Cu Kα (λ = 1.5418 Å)
Structure: a GGA-PBE-relaxed structure

Top 6 peaks for 2θ = 10–90°, most intense first:
d [Å]  I_rel
3.283  100
2.872  79
2.584  72
1.643  36
2.953  35
5.299  31

```
data_Cs4LiReO6
_space_group_name_H-M_alt 'C 1 2/m 1'
_space_group_IT_number 12
_cell_length_a 6.749
_cell_length_b 12.008
_cell_length_c 6.575
_cell_angle_alpha 90.00
_cell_angle_beta 118.95
_cell_angle_gamma 90.00
loop_
_space_group_symop_operation_xyz
'x,y,z'
'-x,-y,-z'
'-x,y,-z'
'x,-y,z'
'x+1/2,y+1/2,z'
'-x+1/2,-y+1/2,-z'
'-x+1/2,y+1/2,-z'
'x+1/2,-y+1/2,z'
loop_
_atom_site_label
_atom_site_type_symbol
_atom_site_fract_x
_atom_site_fract_y
_atom_site_fract_z
_atom_site_occupancy
Cs1 Cs 0.000 0.166 0.000 1
Cs2 Cs 0.000 0.328 0.500 1
Li1 Li 0.000 0.000 0.500 1
Re1 Re 0.000 0.500 0.000 1
O1 O 0.161 0.500 0.828 1
O2 O 0.207 0.390 0.210 1
```

***

Record 9
Calculated X-ray diffraction stick pattern
Compound: Rb2ZrReO6
Radiation: Cu Kα (λ = 1.5418 Å)
Structure: a GGA-PBE-relaxed structure

Top 6 peaks for 2θ = 10–90°, most intense first:
d [Å]  I_rel
2.874  100
1.659  40
2.032  31
1.437  19
1.285  17
4.065  14

```
data_Rb2ZrReO6
_space_group_name_H-M_alt 'F m -3 m'
_space_group_IT_number 225
_space_group_name_Hall '-F 4 2 3'
_cell_length_a 8.130
_cell_length_b 8.130
_cell_length_c 8.130
_cell_angle_alpha 90.00
_cell_angle_beta 90.00
_cell_angle_gamma 90.00
loop_
_atom_site_label
_atom_site_type_symbol
_atom_site_fract_x
_atom_site_fract_y
_atom_site_fract_z
_atom_site_occupancy
Rb1 Rb 0.250 0.250 0.250 1
Zr1 Zr 0.000 0.000 0.000 1
Re1 Re 0.000 0.000 0.500 1
O1 O 0.000 0.000 0.262 1
```

***

Record 10
Calculated X-ray diffraction stick pattern
Compound: YAgTeS
Radiation: Cu Kα (λ = 1.5418 Å)
Structure: a GGA-PBE-relaxed structure

Top 6 peaks for 2θ = 10–90°, most intense first:
d [Å]  I_rel
2.682  100
3.115  90
2.606  55
2.639  50
2.263  40
2.021  38

```
data_YAgTeS
_space_group_name_H-M_alt 'C m m 2'
_space_group_IT_number 35
_cell_length_a 9.050
_cell_length_b 10.556
_cell_length_c 4.293
_cell_angle_alpha 90.00
_cell_angle_beta 90.00
_cell_angle_gamma 90.00
loop_
_space_group_symop_operation_xyz
'x,y,z'
'-x,-y,z'
'-x,y,z'
'x,-y,z'
'x+1/2,y+1/2,z'
'-x+1/2,-y+1/2,z'
'-x+1/2,y+1/2,z'
'x+1/2,-y+1/2,z'
loop_
_atom_site_label
_atom_site_type_symbol
_atom_site_fract_x
_atom_site_fract_y
_atom_site_fract_z
_atom_site_occupancy
Y1 Y 0.000 0.000 0.000 1
Y2 Y 0.000 0.500 0.404 1
Ag1 Ag 0.250 0.250 0.294 1
Te1 Te 0.000 0.291 0.910 1
S1 S 0.198 0.000 0.484 1
```

***

Record 11
Calculated X-ray diffraction stick pattern
Compound: SmYNO
Radiation: Cu Kα (λ = 1.5418 Å)
Structure: a GGA-PBE-relaxed structure

Top 6 peaks for 2θ = 10–90°, most intense first:
d [Å]  I_rel
2.869  100
2.827  45
3.492  44
2.518  38
1.987  36
1.560  32

```
data_SmYNO
_space_group_name_H-M_alt 'P b c m'
_space_group_IT_number 57
_cell_length_a 8.124
_cell_length_b 6.834
_cell_length_c 5.035
_cell_angle_alpha 90.00
_cell_angle_beta 90.00
_cell_angle_gamma 90.00
loop_
_space_group_symop_operation_xyz
'x,y,z'
'-x,-y,-z'
'-x,-y,z+1/2'
'x,y,-z+1/2'
'x,-y+1/2,-z'
'-x,y+1/2,z'
'-x,y+1/2,-z+1/2'
'x,-y+1/2,z+1/2'
loop_
_atom_site_label
_atom_site_type_symbol
_atom_site_fract_x
_atom_site_fract_y
_atom_site_fract_z
_atom_site_occupancy
Sm1 Sm 0.129 0.084 0.250 1
Y1 Y 0.379 0.575 0.250 1
N1 N 0.130 0.067 0.750 1
O1 O 0.377 0.596 0.750 1
```

***

Record 12
Calculated X-ray diffraction stick pattern
Compound: NaAlNiTe3
Radiation: Cu Kα (λ = 1.5418 Å)
Structure: a GGA-PBE-relaxed structure

Top 6 peaks for 2θ = 10–90°, most intense first:
d [Å]  I_rel
2.934  100
7.930  55
3.697  34
2.155  29
3.002  25
2.024  23

```
data_NaAlNiTe3
_space_group_name_H-M_alt 'P 1 21/m 1'
_space_group_IT_number 11
_cell_length_a 8.501
_cell_length_b 4.064
_cell_length_c 9.550
_cell_angle_alpha 90.00
_cell_angle_beta 111.11
_cell_angle_gamma 90.00
loop_
_space_group_symop_operation_xyz
'x,y,z'
'-x,-y,-z'
'-x,y+1/2,-z'
'x,-y+1/2,z'
loop_
_atom_site_label
_atom_site_type_symbol
_atom_site_fract_x
_atom_site_fract_y
_atom_site_fract_z
_atom_site_occupancy
Na1 Na 0.005 0.250 0.282 1
Al1 Al 0.422 0.250 0.148 1
Ni1 Ni 0.487 0.750 0.316 1
Te1 Te 0.181 0.750 0.119 1
Te2 Te 0.316 0.250 0.840 1
Te3 Te 0.352 0.750 0.524 1
```